Structure and calculated powder diffractogram of Na5InS4 (the GGA-PBE geometry in the Materials Project; Cu Ka).

Principal peaks in the range 15 to 90 degrees two-theta, sorted by position:
| index | d/Å | intensity |
| --- | --- | --- |
| 0 1 1 | 5.883 | 70.0 |
| 1 1 0 | 5.434 | 37.0 |
| 0 2 0 | 4.438 | 48.5 |
| 0 2 1 | 3.859 | 35.0 |
| 2 0 0 | 3.442 | 29.6 |
| 1 1 -2 | 3.208 | 30.9 |
| 2 0 -2 | 2.614 | 38.8 |
| 2 2 1 | 2.558 | 100.0 |
| 0 2 3 | 2.257 | 75.9 |
| 0 4 0 | 2.213 | 37.5 |

Cell and atoms:
abc: 6.884 8.853 7.874
angles: 90.00 91.00 90.00
Space group P2_1/m (No. 11)
Unique sites:
Na: 0.000 0.000 0.000 (multiplicity 2)
Na: 0.023 0.250 0.469 (multiplicity 2)
Na: 0.331 0.250 0.839 (multiplicity 2)
Na: 0.345 0.520 0.335 (multiplicity 4)
In: 0.361 0.750 0.824 (multiplicity 2)
S: 0.234 0.519 0.672 (multiplicity 4)
S: 0.241 0.750 0.121 (multiplicity 2)
S: 0.274 0.250 0.179 (multiplicity 2)

***

Structure and calculated powder diffractogram of Na2MgGeP2SO12 (the GGA-PBE geometry in the Materials Project; Cu Ka).

Principal peaks in the range 15 to 90 degrees two-theta, sorted by position:
| index | d/Å | intensity |
| --- | --- | --- |
| 1 1 1 | 4.388 | 66.1 |
| 3 1 -1 | 4.335 | 75.7 |
| 3 1 -2 | 3.746 | 85.4 |
| 0 2 1 | 3.724 | 100.0 |
| 3 1 0 | 3.695 | 87.0 |
| 2 2 -2 | 3.104 | 58.2 |
| 3 1 -3 | 2.804 | 97.4 |
| 0 2 2 | 2.783 | 71.4 |
| 3 1 1 | 2.759 | 81.6 |
| 3 3 -1 | 2.503 | 98.4 |

Cell and atoms:
abc: 15.007 8.679 8.885
angles: 90.00 125.28 90.00
Space group Cc (No. 9)
Unique sites:
Na: 0.000 0.076 0.000 (multiplicity 4)
Na: 0.079 0.267 0.741 (multiplicity 4)
Mg: 0.209 0.250 0.168 (multiplicity 4)
Ge: 0.410 0.261 0.786 (multiplicity 4)
P: 0.161 0.115 0.469 (multiplicity 4)
P: 0.313 0.455 0.977 (multiplicity 4)
S: 0.453 0.091 0.482 (multiplicity 4)
O: 0.048 0.341 0.998 (multiplicity 4)
O: 0.064 0.200 0.463 (multiplicity 4)
O: 0.151 0.057 0.995 (multiplicity 4)
O: 0.151 0.144 0.294 (multiplicity 4)
O: 0.243 0.347 0.999 (multiplicity 4)
O: 0.252 0.441 0.313 (multiplicity 4)
O: 0.267 0.190 0.645 (multiplicity 4)
O: 0.356 0.155 0.318 (multiplicity 4)
O: 0.397 0.447 0.662 (multiplicity 4)
O: 0.401 0.359 0.968 (multiplicity 4)
O: 0.456 0.081 0.971 (multiplicity 4)
O: 0.458 0.121 0.654 (multiplicity 4)

***

Structure and calculated powder diffractogram of Ba2La2TlCu2O9 (the GGA-PBE geometry in the Materials Project; Cu Ka).

Principal peaks in the range 15 to 90 degrees two-theta, sorted by position:
| index | d/Å | intensity |
| --- | --- | --- |
| 1 0 3 | 3.608 | 19.0 |
| 1 0 7 | 2.954 | 100.0 |
| 1 1 0 | 2.706 | 62.2 |
| 0 0 14 | 2.324 | 13.3 |
| 1 1 10 | 2.080 | 18.5 |
| 2 0 0 | 1.913 | 29.9 |
| 1 1 14 | 1.763 | 17.9 |
| 1 0 17 | 1.712 | 12.8 |
| 2 1 7 | 1.606 | 33.9 |
| 3 1 0 | 1.210 | 12.3 |

Cell and atoms:
abc: 3.826 3.826 32.536
angles: 90.00 90.00 90.00
Space group I4/mmm (No. 139)
Unique sites:
Ba: 0.000 0.000 0.083 (multiplicity 4)
La: 0.000 0.000 0.205 (multiplicity 4)
Tl: 0.000 0.000 0.500 (multiplicity 2)
Cu: 0.000 0.000 0.350 (multiplicity 4)
O: 0.000 0.000 0.000 (multiplicity 2)
O: 0.000 0.000 0.278 (multiplicity 4)
O: 0.000 0.000 0.435 (multiplicity 4)
O: 0.000 0.500 0.153 (multiplicity 8)

***

Structure and calculated powder diffractogram of Sm2SiO5 (the GGA-PBE geometry in the Materials Project; Cu Ka).

Principal peaks in the range 15 to 90 degrees two-theta, sorted by position:
| index | d/Å | intensity |
| --- | --- | --- |
| 1 1 0 | 5.572 | 50.6 |
| 2 0 0 | 4.413 | 40.4 |
| 0 2 1 | 3.147 | 100.0 |
| 2 0 -2 | 3.117 | 77.9 |
| 3 0 0 | 2.942 | 57.0 |
| 1 2 1 | 2.835 | 67.5 |
| 1 0 2 | 2.795 | 53.7 |
| 2 2 -1 | 2.762 | 75.3 |
| 3 2 1 | 2.007 | 52.3 |
| 1 2 -3 | 1.925 | 49.1 |

Cell and atoms:
abc: 9.269 7.185 6.852
angles: 90.00 107.76 90.00
Space group P2_1/c (No. 14)
Unique sites:
Sm: 0.025 0.124 0.234 (multiplicity 4)
Sm: 0.386 0.147 0.084 (multiplicity 4)
Si: 0.299 0.586 0.040 (multiplicity 4)
O: 0.116 0.122 0.950 (multiplicity 4)
O: 0.117 0.636 0.993 (multiplicity 4)
O: 0.295 0.069 0.357 (multiplicity 4)
O: 0.368 0.041 0.746 (multiplicity 4)
O: 0.405 0.734 0.550 (multiplicity 4)

***

Structure and calculated powder diffractogram of Li2AgBi (the GGA-PBE geometry in the Materials Project; Cu Ka).

Principal peaks in the range 15 to 90 degrees two-theta, sorted by position:
| index | d/Å | intensity |
| --- | --- | --- |
| 1 1 1 | 3.895 | 16.5 |
| 2 0 0 | 3.373 | 100.0 |
| 2 2 0 | 2.385 | 90.3 |
| 3 1 1 | 2.034 | 9.9 |
| 2 2 2 | 1.947 | 29.0 |
| 4 0 0 | 1.686 | 15.7 |
| 4 2 0 | 1.508 | 38.1 |
| 4 2 2 | 1.377 | 32.0 |
| 4 4 0 | 1.193 | 10.2 |
| 6 0 0 | 1.124 | 19.4 |

Cell and atoms:
abc: 6.746 6.746 6.746
angles: 90.00 90.00 90.00
Space group Fm-3m (No. 225)
Unique sites:
Li: 0.250 0.250 0.250 (multiplicity 8)
Ag: 0.000 0.000 0.000 (multiplicity 4)
Bi: 0.000 0.000 0.500 (multiplicity 4)

***

Structure and calculated powder diffractogram of UB2Ir3 (the GGA-PBE geometry in the Materials Project; Cu Ka).

Principal peaks in the range 15 to 90 degrees two-theta, sorted by position:
| index | d/Å | intensity |
| --- | --- | --- |
| 0 0 1 | 3.154 | 12.1 |
| 1 0 1 | 2.626 | 71.6 |
| 2 0 0 | 2.369 | 100.0 |
| 1 1 1 | 2.067 | 40.5 |
| 2 0 1 | 1.894 | 20.0 |
| 2 1 1 | 1.557 | 30.5 |
| 3 0 1 | 1.412 | 12.2 |
| 2 2 0 | 1.368 | 19.4 |
| 2 0 2 | 1.313 | 32.2 |
| 3 1 1 | 1.213 | 13.9 |

Cell and atoms:
abc: 5.4706 5.4706 3.1542
angles: 90.00 90.00 120.00
Space group P6/mmm (No. 191)
Unique sites:
U: 0.0000 0.0000 0.0000 (multiplicity 1)
B: 0.3333 0.6667 0.0000 (multiplicity 2)
Ir: 0.0000 0.5000 0.5000 (multiplicity 3)

***

Structure and calculated powder diffractogram of TiZnSiO5 (the GGA-PBE geometry in the Materials Project; Cu Ka).

Principal peaks in the range 15 to 90 degrees two-theta, sorted by position:
| index | d/Å | intensity |
| --- | --- | --- |
| 1 0 0 | 5.078 | 23.8 |
| 1 0 -1 | 4.933 | 34.9 |
| 1 0 1 | 3.494 | 82.0 |
| 1 0 -2 | 3.355 | 100.0 |
| 1 1 0 | 3.243 | 59.5 |
| 1 -1 2 | 2.579 | 18.6 |
| 2 -1 0 | 2.508 | 41.4 |
| 0 1 -3 | 2.344 | 19.9 |
| 1 2 0 | 2.090 | 19.5 |
| 2 1 1 | 1.788 | 18.7 |

Cell and atoms:
abc: 5.448 5.448 7.386
angles: 107.09 106.76 96.99
Space group P1 (No. 1)
Unique sites:
Ti: 0.000 0.000 0.000 (multiplicity 1)
Ti: 0.014 0.982 0.501 (multiplicity 1)
Zn: 0.172 0.575 0.147 (multiplicity 1)
Zn: 0.594 0.169 0.655 (multiplicity 1)
Si: 0.375 0.668 0.778 (multiplicity 1)
Si: 0.681 0.356 0.283 (multiplicity 1)
O: 0.102 0.916 0.274 (multiplicity 1)
O: 0.205 0.730 0.932 (multiplicity 1)
O: 0.306 0.355 0.643 (multiplicity 1)
O: 0.322 0.859 0.641 (multiplicity 1)
O: 0.367 0.298 0.152 (multiplicity 1)
O: 0.690 0.748 0.912 (multiplicity 1)
O: 0.735 0.174 0.428 (multiplicity 1)
O: 0.777 0.666 0.427 (multiplicity 1)
O: 0.864 0.300 0.138 (multiplicity 1)
O: 0.938 0.103 0.781 (multiplicity 1)

***

Structure and calculated powder diffractogram of PtPb (the GGA-PBE geometry in the Materials Project; Cu Ka).

Principal peaks in the range 15 to 90 degrees two-theta, sorted by position:
| index | d/Å | intensity |
| --- | --- | --- |
| 1 0 0 | 3.355 | 14.7 |
| 1 0 1 | 3.043 | 53.8 |
| 1 0 2 | 2.459 | 100.0 |
| 1 0 3 | 1.957 | 15.6 |
| 1 1 0 | 1.937 | 43.5 |
| 0 0 4 | 1.807 | 11.7 |
| 2 0 2 | 1.521 | 23.3 |
| 1 1 4 | 1.321 | 25.6 |
| 2 1 2 | 1.196 | 21.9 |
| 1 0 6 | 1.134 | 9.5 |

Cell and atoms:
abc: 3.8735 3.8735 7.2291
angles: 90.00 90.00 120.00
Space group P6_3/mmc (No. 194)
Unique sites:
Pt: 0.3333 0.6667 0.2500 (multiplicity 2)
Pb: 0.0000 0.0000 0.0000 (multiplicity 2)

***

Structure and calculated powder diffractogram of Ce2Al3Ge4 (the GGA-PBE geometry in the Materials Project; Cu Ka).

Principal peaks in the range 15 to 90 degrees two-theta, sorted by position:
| index | d/Å | intensity |
| --- | --- | --- |
| 1 1 1 | 4.573 | 30.1 |
| 1 3 2 | 2.765 | 47.2 |
| 2 2 1 | 2.638 | 60.3 |
| 1 5 1 | 2.549 | 100.0 |
| 0 2 3 | 2.496 | 75.4 |
| 2 0 2 | 2.400 | 74.7 |
| 0 6 1 | 2.391 | 28.0 |
| 2 4 0 | 2.352 | 34.2 |
| 1 7 2 | 1.803 | 25.2 |
| 3 5 1 | 1.635 | 25.6 |

Cell and atoms:
abc: 6.027 15.045 7.937
angles: 90.00 90.00 90.00
Space group Cmce (No. 64)
Unique sites:
Ce: 0.000 0.114 0.082 (multiplicity 8)
Al: 0.000 0.000 0.500 (multiplicity 4)
Al: 0.250 0.215 0.750 (multiplicity 8)
Ge: 0.000 0.184 0.449 (multiplicity 8)
Ge: 0.250 0.046 0.750 (multiplicity 8)

***

Structure and calculated powder diffractogram of GaFe3N (the GGA-PBE geometry in the Materials Project; Cu Ka).

Principal peaks in the range 15 to 90 degrees two-theta, sorted by position:
| index | d/Å | intensity |
| --- | --- | --- |
| 1 1 0 | 2.637 | 3.8 |
| 1 1 1 | 2.153 | 100.0 |
| 2 0 0 | 1.864 | 57.1 |
| 2 1 1 | 1.522 | 1.3 |
| 2 2 0 | 1.318 | 32.9 |
| 3 1 0 | 1.179 | 0.5 |
| 3 1 1 | 1.124 | 32.9 |

Cell and atoms:
abc: 3.729 3.729 3.729
angles: 90.00 90.00 90.00
Space group Pm-3m (No. 221)
Unique sites:
Ga: 0.000 0.000 0.000 (multiplicity 1)
Fe: 0.000 0.500 0.500 (multiplicity 3)
N: 0.500 0.500 0.500 (multiplicity 1)